(1)
Ba2NiW: computed powder diffractogram (copper Kα), based on the PBE geometry in Alexandria.
Neutral-atom scattering factors, no anomalous dispersion.

Structure:
```
data_Ba2NiW
_chemical_formula_sum 'Ba4 Ni2 W2'
_space_group_name_H-M_alt 'C m m 2'
_space_group_IT_number 35
_cell_length_a 4.724
_cell_length_b 4.962
_cell_length_c 9.880
_cell_angle_alpha 90.00
_cell_angle_beta 90.00
_cell_angle_gamma 90.00
loop_
_space_group_symop_operation_xyz
'x,y,z'
'-x,-y,z'
'-x,y,z'
'x,-y,z'
'x+1/2,y+1/2,z'
'-x+1/2,-y+1/2,z'
'-x+1/2,y+1/2,z'
'x+1/2,-y+1/2,z'
loop_
_atom_site_label
_atom_site_fract_x
_atom_site_fract_y
_atom_site_fract_z
_atom_site_occupancy
Ba1 0.000 0.000 0.000 1
Ba2 0.000 0.500 0.416 1
Ni1 0.000 0.500 0.756 1
W1 0.000 0.000 0.676 1
```

The 6 most intense peaks (10° ≤ 2θ ≤ 90°), by angle:
| d/Å | I (rel.) |
| --- | --- |
| 3.293 | 71 |
| 3.233 | 98 |
| 2.813 | 90 |
| 2.481 | 59 |
| 2.373 | 100 |
| 1.484 | 55 |

(2)
BaZn11Ni: computed powder diffractogram (copper Kα), based on the PBE geometry in Alexandria.
Neutral-atom scattering factors, no anomalous dispersion.

Structure:
```
data_BaZn11Ni
_chemical_formula_sum 'Ba2 Zn22 Ni2'
_space_group_name_H-M_alt 'C 1 2/m 1'
_space_group_IT_number 12
_cell_length_a 5.037
_cell_length_b 13.157
_cell_length_c 7.049
_cell_angle_alpha 90.00
_cell_angle_beta 109.86
_cell_angle_gamma 90.00
loop_
_space_group_symop_operation_xyz
'x,y,z'
'-x,-y,-z'
'-x,y,-z'
'x,-y,z'
'x+1/2,y+1/2,z'
'-x+1/2,-y+1/2,-z'
'-x+1/2,y+1/2,-z'
'x+1/2,-y+1/2,z'
loop_
_atom_site_label
_atom_site_fract_x
_atom_site_fract_y
_atom_site_fract_z
_atom_site_occupancy
Ba1 0.000 0.000 0.000 1
Zn1 0.000 0.000 0.500 1
Zn2 0.112 0.384 0.244 1
Zn3 0.186 0.174 0.362 1
Zn4 0.250 0.250 0.000 1
Ni1 0.000 0.500 0.500 1
```

The 6 most intense peaks (10° ≤ 2θ ≤ 90°), by angle:
| d/Å | I (rel.) |
| --- | --- |
| 2.335 | 100 |
| 2.327 | 35 |
| 2.293 | 56 |
| 2.229 | 49 |
| 2.204 | 44 |
| 1.999 | 33 |